Record 1
Structure and simulated X-ray powder pattern of RbNaMg6O7 (a cell relaxed with PBE; Cu Ka).

```
data_RbNaMg6O7
_chemical_formula_sum 'Rb1 Na1 Mg6 O7'
_space_group_name_H-M_alt 'P 4 m m'
_space_group_IT_number 99
_cell_length_a 4.244
_cell_length_b 4.244
_cell_length_c 11.407
_cell_angle_alpha 90.00
_cell_angle_beta 90.00
_cell_angle_gamma 90.00
loop_
_space_group_symop_operation_xyz
'x,y,z'
'-y,x,z'
'-x,-y,z'
'y,-x,z'
'-x,y,z'
'y,x,z'
'x,-y,z'
'-y,-x,z'
loop_
_atom_site_label
_atom_site_type_symbol
_atom_site_fract_x
_atom_site_fract_y
_atom_site_fract_z
Rb1 Rb 0.000 0.000 0.000
Na1 Na 0.000 0.000 0.475
Mg1 Mg 0.000 0.500 0.294
Mg2 Mg 0.000 0.500 0.672
Mg3 Mg 0.500 0.500 0.466
Mg4 Mg 0.500 0.500 0.862
O1 O 0.000 0.000 0.262
O2 O 0.000 0.000 0.669
O3 O 0.000 0.500 0.485
O4 O 0.000 0.500 0.849
O5 O 0.500 0.500 0.287
```

Most intense lines, 10 to 90 degrees two-theta, low angle first:
2θ/deg, d/Å, I (rel.)
15.54, 5.704, 26
20.93, 4.244, 28
22.35, 3.978, 34
26.17, 3.405, 47
30.81, 2.902, 33
31.59, 2.832, 46
33.75, 2.656, 54
38.01, 2.367, 26
42.60, 2.122, 100
61.83, 1.501, 29

Record 2
Structure and simulated X-ray powder pattern of AgBiTe2 (a cell relaxed with PBE; Cu Ka).

```
data_AgBiTe2
_chemical_formula_sum 'Ag3 Bi3 Te6'
_space_group_name_H-M_alt 'P -3 m 1'
_space_group_IT_number 164
_space_group_name_Hall '-P 3 2"'
_cell_length_a 4.4458
_cell_length_b 4.4458
_cell_length_c 20.9616
_cell_angle_alpha 90.00
_cell_angle_beta 90.00
_cell_angle_gamma 120.00
loop_
_atom_site_label
_atom_site_type_symbol
_atom_site_fract_x
_atom_site_fract_y
_atom_site_fract_z
Ag1 Ag 0.0000 0.0000 0.0000
Ag2 Ag 0.3333 0.6667 0.6694
Bi1 Bi 0.0000 0.0000 0.5000
Bi2 Bi 0.3333 0.6667 0.1648
Te1 Te 0.0000 0.0000 0.2542
Te2 Te 0.3333 0.6667 0.4097
Te3 Te 0.3333 0.6667 0.9244
```

Most intense lines, 10 to 90 degrees two-theta, low angle first:
2θ/deg, d/Å, I (rel.)
28.77, 3.103, 100
40.58, 2.223, 40
41.70, 2.166, 35
50.51, 1.807, 21
52.36, 1.747, 7
59.59, 1.551, 12
66.71, 1.402, 18
68.28, 1.374, 17
73.84, 1.283, 7
74.60, 1.272, 13

Record 3
Structure and simulated X-ray powder pattern of CsMg6C (a cell relaxed with PBE; Cu Ka).

```
data_CsMg6C
_chemical_formula_sum 'Cs2 Mg12 C2'
_space_group_name_H-M_alt 'C 1 2 1'
_space_group_IT_number 5
_cell_length_a 5.773
_cell_length_b 23.622
_cell_length_c 3.535
_cell_angle_alpha 90.00
_cell_angle_beta 109.90
_cell_angle_gamma 90.00
loop_
_space_group_symop_operation_xyz
'x,y,z'
'-x,y,-z'
'x+1/2,y+1/2,z'
'-x+1/2,y+1/2,-z'
loop_
_atom_site_label
_atom_site_type_symbol
_atom_site_fract_x
_atom_site_fract_y
_atom_site_fract_z
Cs1 Cs 0.000 0.000 0.000
Mg1 Mg 0.000 0.375 0.500
Mg2 Mg 0.000 0.850 0.500
Mg3 Mg 0.235 0.257 0.876
Mg4 Mg 0.244 0.658 0.627
C1 C 0.000 0.679 0.000
```

Most intense lines, 10 to 90 degrees two-theta, low angle first:
2θ/deg, d/Å, I (rel.)
15.00, 5.906, 43
16.76, 5.291, 100
19.86, 4.469, 90
22.58, 3.937, 45
24.99, 3.564, 52
26.52, 3.362, 52
30.87, 2.897, 86
33.89, 2.645, 51
35.68, 2.516, 36
38.01, 2.367, 42

Record 4
Structure and simulated X-ray powder pattern of SiO2 (a cell relaxed with PBE; Cu Ka).

```
data_SiO2
_chemical_formula_sum 'Si4 O8'
_space_group_name_H-M_alt 'I -4 2 d'
_space_group_IT_number 122
_space_group_name_Hall 'I -4 2bw'
_cell_length_a 5.056
_cell_length_b 5.056
_cell_length_c 7.374
_cell_angle_alpha 90.00
_cell_angle_beta 90.00
_cell_angle_gamma 90.00
loop_
_atom_site_label
_atom_site_type_symbol
_atom_site_fract_x
_atom_site_fract_y
_atom_site_fract_z
Si1 Si 0.000 0.000 0.000
O1 O 0.088 0.250 0.125
```

Most intense lines, 10 to 90 degrees two-theta, low angle first:
2θ/deg, d/Å, I (rel.)
21.31, 4.170, 100
34.96, 2.567, 23
35.51, 2.528, 4
41.78, 2.162, 6
43.40, 2.085, 6
55.19, 1.664, 13
62.34, 1.490, 5
63.41, 1.467, 6
77.23, 1.235, 4
79.18, 1.210, 4

Record 5
Structure and simulated X-ray powder pattern of Pr2MgCuO4 (a cell relaxed with PBE; Cu Ka).

```
data_Pr2MgCuO4
_chemical_formula_sum 'Pr4 Mg2 Cu2 O8'
_space_group_name_H-M_alt 'C 1 2/m 1'
_space_group_IT_number 12
_cell_length_a 18.052
_cell_length_b 4.093
_cell_length_c 4.093
_cell_angle_alpha 90.00
_cell_angle_beta 103.05
_cell_angle_gamma 90.00
loop_
_space_group_symop_operation_xyz
'x,y,z'
'-x,-y,-z'
'-x,y,-z'
'x,-y,z'
'x+1/2,y+1/2,z'
'-x+1/2,-y+1/2,-z'
'-x+1/2,y+1/2,-z'
'x+1/2,-y+1/2,z'
loop_
_atom_site_label
_atom_site_type_symbol
_atom_site_fract_x
_atom_site_fract_y
_atom_site_fract_z
Pr1 Pr 0.185 0.000 0.185
Mg1 Mg 0.000 0.000 0.000
Cu1 Cu 0.000 0.500 0.500
O1 O 0.000 0.000 0.500
O2 O 0.000 0.500 0.000
O3 O 0.250 0.000 0.750
```

Most intense lines, 10 to 90 degrees two-theta, low angle first:
2θ/deg, d/Å, I (rel.)
10.06, 8.793, 22
20.20, 4.397, 12
26.56, 3.356, 100
30.50, 2.931, 18
30.90, 2.894, 34
33.60, 2.668, 25
43.97, 2.059, 26
44.26, 2.046, 25
52.37, 1.747, 30
54.70, 1.678, 14

Record 6
Structure and simulated X-ray powder pattern of Cs2BeO2 (a cell relaxed with PBE; Cu Ka).

```
data_Cs2BeO2
_chemical_formula_sum 'Cs4 Be2 O4'
_space_group_name_H-M_alt 'I 4/m m m'
_space_group_IT_number 139
_space_group_name_Hall '-I 4 2'
_cell_length_a 4.454
_cell_length_b 4.454
_cell_length_c 12.837
_cell_angle_alpha 90.00
_cell_angle_beta 90.00
_cell_angle_gamma 90.00
loop_
_atom_site_label
_atom_site_type_symbol
_atom_site_fract_x
_atom_site_fract_y
_atom_site_fract_z
Cs1 Cs 0.000 0.000 0.154
Be1 Be 0.000 0.000 0.500
O1 O 0.000 0.000 0.388
```

Most intense lines, 10 to 90 degrees two-theta, low angle first:
2θ/deg, d/Å, I (rel.)
13.80, 6.418, 15
21.12, 4.208, 48
27.80, 3.209, 24
28.34, 3.149, 83
28.94, 3.086, 100
40.12, 2.248, 34
40.51, 2.227, 32
49.84, 1.829, 18
50.55, 1.806, 42
51.65, 1.770, 17

Record 7
Structure and simulated X-ray powder pattern of LiH2BrO5 (a cell relaxed with PBE; Cu Ka).

```
data_LiH2BrO5
_chemical_formula_sum 'Li8 H16 Br8 O40'
_space_group_name_H-M_alt 'C 1 2/c 1'
_space_group_IT_number 15
_cell_length_a 16.782
_cell_length_b 5.581
_cell_length_c 11.037
_cell_angle_alpha 90.00
_cell_angle_beta 104.56
_cell_angle_gamma 90.00
loop_
_space_group_symop_operation_xyz
'x,y,z'
'-x,-y,-z'
'-x,y,-z+1/2'
'x,-y,z+1/2'
'x+1/2,y+1/2,z'
'-x+1/2,-y+1/2,-z'
'-x+1/2,y+1/2,-z+1/2'
'x+1/2,-y+1/2,z+1/2'
loop_
_atom_site_label
_atom_site_type_symbol
_atom_site_fract_x
_atom_site_fract_y
_atom_site_fract_z
Li1 Li 0.000 0.039 0.250
Li2 Li 0.250 0.250 0.500
H1 H 0.122 0.013 0.151
H2 H 0.186 0.349 0.961
Br1 Br 0.137 0.462 0.735
O1 O 0.042 0.269 0.129
O2 O 0.087 0.215 0.758
O3 O 0.111 0.155 0.096
O4 O 0.191 0.366 0.638
O5 O 0.215 0.452 0.914
```

Most intense lines, 10 to 90 degrees two-theta, low angle first:
2θ/deg, d/Å, I (rel.)
16.60, 5.342, 100
16.80, 5.278, 58
21.89, 4.061, 45
22.70, 3.918, 26
22.88, 3.886, 91
23.96, 3.714, 52
24.66, 3.610, 23
25.79, 3.454, 78
30.81, 2.902, 37
39.02, 2.308, 21

Record 8
Structure and simulated X-ray powder pattern of Sc2CdHg (a cell relaxed with PBE; Cu Ka).

```
data_Sc2CdHg
_chemical_formula_sum 'Sc8 Cd4 Hg4'
_space_group_name_H-M_alt 'F m -3 m'
_space_group_IT_number 225
_space_group_name_Hall '-F 4 2 3'
_cell_length_a 7.076
_cell_length_b 7.076
_cell_length_c 7.076
_cell_angle_alpha 90.00
_cell_angle_beta 90.00
_cell_angle_gamma 90.00
loop_
_atom_site_label
_atom_site_type_symbol
_atom_site_fract_x
_atom_site_fract_y
_atom_site_fract_z
Sc1 Sc 0.250 0.250 0.250
Cd1 Cd 0.000 0.000 0.000
Hg1 Hg 0.000 0.000 0.500
```

Most intense lines, 10 to 90 degrees two-theta, low angle first:
2θ/deg, d/Å, I (rel.)
21.76, 4.085, 10
25.17, 3.538, 38
35.90, 2.502, 100
44.35, 2.043, 12
51.68, 1.769, 17
58.32, 1.582, 16
64.52, 1.444, 35
76.10, 1.251, 11
81.65, 1.179, 8
87.12, 1.119, 16